(1)
Diffraction record for U2Tl2Te5. The powder diffractogram is computed, not measured: it uses DFT lattice parameters and positions (GGA-PBE) and Cu Kα (λ = 1.5418 Å).
Lines closer than 0.1° are merged.

Top 10 peaks for 10° ≤ 2θ ≤ 90°, sorted by position:
Position (°2θ), I/Imax
10.3, 37
23.7, 34
28.6, 56
30.1, 38
30.3, 27
31.8, 66
34.4, 100
35.6, 42
43.3, 32
59.9, 27

Cell and atoms:
```
U2Tl2Te5
1.0
8.573 -4.166 0.000
8.573 4.166 0.000
0.000 0.000 8.348
U Tl Te
4 4 10
Direct
0.151 0.849 0.849
0.349 0.651 0.349
0.651 0.349 0.651
0.849 0.151 0.151
0.202 0.202 0.500
0.298 0.298 0.000
0.702 0.702 0.000
0.798 0.798 0.500
0.000 0.000 0.500
0.032 0.732 0.150
0.232 0.532 0.650
0.268 0.968 0.150
0.468 0.768 0.650
0.500 0.500 0.000
0.532 0.232 0.350
0.732 0.032 0.850
0.768 0.468 0.350
0.968 0.268 0.850
```

=====

(2)
Diffraction record for CsTaIn2Br8. The powder diffractogram is computed, not measured: it uses DFT lattice parameters and positions (GGA-PBE) and Cu Kα (λ = 1.5418 Å).
Lines closer than 0.1° are merged.

Top 10 peaks for 10° ≤ 2θ ≤ 90°, sorted by position:
Position (°2θ), I/Imax
14.4, 66
15.0, 21
21.6, 43
22.8, 37
28.7, 100
29.5, 40
32.2, 23
38.4, 26
44.8, 22
45.5, 16

Cell and atoms:
```
CsTaIn2Br8
1.0
6.708 0.000 0.000
3.194 7.319 0.000
0.024 0.004 9.921
Cs Ta In Br
1 1 2 8
Direct
0.000 0.000 0.000
0.000 0.000 0.500
0.002 0.499 0.770
0.998 0.501 0.230
0.224 0.189 0.499
0.244 0.788 0.319
0.246 0.789 0.680
0.290 0.304 0.001
0.710 0.696 0.999
0.754 0.211 0.320
0.756 0.212 0.681
0.776 0.811 0.501
```

=====

(3)
Diffraction record for Cu3Te4P. The powder diffractogram is computed, not measured: it uses DFT lattice parameters and positions (GGA-PBE) and Cu Kα (λ = 1.5418 Å).
Lines closer than 0.1° are merged.

Top 10 peaks for 10° ≤ 2θ ≤ 90°, sorted by position:
Position (°2θ), I/Imax
26.8, 100
34.9, 22
38.3, 17
44.5, 65
47.4, 10
52.8, 33
67.1, 10
69.3, 10
71.5, 11
82.0, 14

Cell and atoms:
```
Cu3Te4P
1.0
5.754 0.000 0.000
0.000 5.754 0.000
0.000 0.000 5.754
Cu Te P
3 4 1
Direct
0.000 0.000 0.500
0.000 0.500 0.000
0.500 0.000 0.000
0.282 0.282 0.282
0.282 0.718 0.718
0.718 0.282 0.718
0.718 0.718 0.282
0.000 0.000 0.000
```

=====

(4)
Diffraction record for K3Ba2S2I3. The powder diffractogram is computed, not measured: it uses DFT lattice parameters and positions (GGA-PBE) and Cu Kα (λ = 1.5418 Å).
Lines closer than 0.1° are merged.

Top 10 peaks for 10° ≤ 2θ ≤ 90°, sorted by position:
Position (°2θ), I/Imax
21.5, 46
22.6, 94
24.1, 76
24.9, 74
28.4, 49
31.0, 100
37.6, 48
39.7, 80
51.2, 38
59.6, 43

Cell and atoms:
```
K3Ba2S2I3
1.0
-2.886 2.886 14.743
2.886 -2.886 14.743
2.886 2.886 -14.743
K Ba S I
3 2 2 3
Direct
0.000 0.000 0.000
0.386 0.386 0.000
0.614 0.614 0.000
0.250 0.750 0.500
0.750 0.250 0.500
0.284 0.284 0.000
0.716 0.716 0.000
0.124 0.124 0.000
0.500 0.500 0.000
0.876 0.876 0.000
```

=====

(5)
Diffraction record for La8Si3I4N. The powder diffractogram is computed, not measured: it uses DFT lattice parameters and positions (GGA-PBE) and Cu Kα (λ = 1.5418 Å).
Lines closer than 0.1° are merged.

Top 10 peaks for 10° ≤ 2θ ≤ 90°, sorted by position:
Position (°2θ), I/Imax
24.4, 17
28.4, 100
30.6, 37
33.7, 17
38.7, 25
42.4, 37
51.8, 17
55.2, 22
55.7, 13
69.1, 13

Cell and atoms:
```
La8Si3I4N
1.0
4.262 2.461 7.987
-4.262 2.461 7.987
0.000 -4.921 7.987
La Si I N
8 3 4 1
Direct
0.234 0.234 0.234
0.259 0.714 0.714
0.286 0.286 0.741
0.286 0.741 0.286
0.714 0.259 0.714
0.714 0.714 0.259
0.741 0.286 0.286
0.766 0.766 0.766
0.000 0.000 0.500
0.000 0.500 0.000
0.500 0.000 0.000
0.000 0.000 0.000
0.000 0.500 0.500
0.500 0.000 0.500
0.500 0.500 0.000
0.500 0.500 0.500
```

=====

(6)
Diffraction record for LiPr2ScAu6. The powder diffractogram is computed, not measured: it uses DFT lattice parameters and positions (GGA-PBE) and Cu Kα (λ = 1.5418 Å).
Lines closer than 0.1° are merged.

Top 10 peaks for 10° ≤ 2θ ≤ 90°, sorted by position:
Position (°2θ), I/Imax
19.9, 41
26.7, 44
26.9, 35
28.5, 35
31.0, 30
34.2, 22
37.7, 100
38.2, 47
38.5, 59
40.4, 32

Cell and atoms:
```
LiPr2ScAu6
1.0
5.552 0.000 0.000
2.775 6.267 0.000
2.761 -0.323 6.669
Li Pr Sc Au
1 2 1 6
Direct
0.000 0.000 0.000
0.475 0.261 0.788
0.525 0.739 0.212
0.000 0.500 0.500
0.006 0.271 0.215
0.150 0.088 0.611
0.491 0.729 0.783
0.509 0.271 0.217
0.850 0.912 0.389
0.994 0.729 0.785
```

=====

(7)
Diffraction record for Ce11Al9Ni4. The powder diffractogram is computed, not measured: it uses DFT lattice parameters and positions (GGA-PBE) and Cu Kα (λ = 1.5418 Å).
Lines closer than 0.1° are merged.

Top 10 peaks for 10° ≤ 2θ ≤ 90°, sorted by position:
Position (°2θ), I/Imax
19.3, 20
25.1, 37
25.2, 28
25.6, 22
33.1, 25
34.2, 30
35.9, 69
36.2, 100
38.4, 33
51.5, 21

Cell and atoms:
```
Ce11Al9Ni4
1.0
7.065 -10.424 0.000
7.065 10.424 0.000
0.000 0.000 3.547
Ce Al Ni
11 9 4
Direct
0.000 0.000 0.000
0.056 0.418 0.000
0.155 0.845 0.000
0.312 0.312 0.000
0.374 0.626 0.000
0.418 0.056 0.000
0.582 0.944 0.000
0.626 0.374 0.000
0.688 0.688 0.000
0.845 0.155 0.000
0.944 0.582 0.000
0.085 0.224 0.500
0.170 0.635 0.500
0.224 0.085 0.500
0.365 0.830 0.500
0.500 0.500 0.500
0.635 0.170 0.500
0.776 0.915 0.500
0.830 0.365 0.500
0.915 0.776 0.500
0.243 0.448 0.500
0.448 0.243 0.500
0.552 0.757 0.500
0.757 0.552 0.500
```

=====

(8)
Diffraction record for Sr3HoAl8. The powder diffractogram is computed, not measured: it uses DFT lattice parameters and positions (GGA-PBE) and Cu Kα (λ = 1.5418 Å).
Lines closer than 0.1° are merged.

Top 10 peaks for 10° ≤ 2θ ≤ 90°, sorted by position:
Position (°2θ), I/Imax
18.8, 52
30.9, 55
31.0, 55
36.5, 100
36.6, 33
55.2, 32
58.8, 24
58.9, 16
64.5, 15
64.7, 15

Cell and atoms:
```
Sr3HoAl8
1.0
2.881 1.663 9.455
-2.881 1.663 9.455
0.000 -3.326 9.455
Sr Ho Al
3 1 8
Direct
0.000 0.000 0.000
0.125 0.125 0.125
0.625 0.625 0.625
0.500 0.500 0.500
0.061 0.061 0.559
0.061 0.559 0.061
0.068 0.563 0.563
0.313 0.313 0.313
0.559 0.061 0.061
0.563 0.068 0.563
0.563 0.563 0.068
0.813 0.813 0.813
```